Starting from a structure optimized by DFT (GGA-PBE), the PXRD pattern of Nd12Dy7Tm was computed for Cu Kα.

Atomic structure:
a b c (Å): 12.2639 12.2639 15.8284
angles (deg): 90.00 90.00 120.00
Space group R-3 (No. 148, hexagonal axes)
One atom of each set of equivalent atoms:
Nd 0.0223 0.5737 0.2216 x18
Nd 0.0592 0.4684 0.5800 x18
Dy 0.0000 0.0000 0.0000 x3
Dy 0.0548 0.8677 0.2985 x18
Tm 0.0000 0.0000 0.5000 x3

Main lines, sorted by position (2θ from 15° to 90°):
- 2θ 28.12, rel. 21, hkl 0 2 4
- 2θ 29.44, rel. 30, hkl 0 1 5
- 2θ 30.41, rel. 39, hkl 0 3 3
- 2θ 30.88, rel. 100, hkl 1 3 1
- 2θ 31.75, rel. 47, hkl 2 1 4
- 2θ 32.43, rel. 65, hkl 4 -1 2

Starting from a structure optimized by DFT (GGA-PBE), the PXRD pattern of NdDy9Tm2 was computed for Cu Kα.

Atomic structure:
a b c (Å): 5.012 5.012 15.046
angles (deg): 90.00 90.00 90.00
Space group P4/mmm (No. 123)
One atom of each set of equivalent atoms:
Nd 0.000 0.000 0.000 x1
Dy 0.000 0.500 0.170 x4
Dy 0.000 0.500 0.500 x2
Dy 0.500 0.500 0.000 x1
Dy 0.500 0.500 0.335 x2
Tm 0.000 0.000 0.335 x2

Main lines, sorted by position (2θ from 15° to 90°):
- 2θ 30.90, rel. 100, hkl 1 1 3
- 2θ 35.83, rel. 51, hkl 2 0 0
- 2θ 51.57, rel. 36, hkl 2 2 0
- 2θ 61.33, rel. 43, hkl 3 1 3
- 2θ 84.18, rel. 18, hkl 3 3 3
- 2θ 86.90, rel. 17, hkl 4 2 0

Which formula does entry 1 have? Nd12Dy7Tm